(1)
The following is a calculated powder diffractogram of NbPd2Au. It was derived from a structure optimized by DFT (PBE), using λ = 1.5418 Å (Cu Kα).

Peak list (10 most intense, 2θ = 15–90°, low angle first)
2θ 36.93, intensity 30; 2θ 37.99, intensity 46; 2θ 41.17, intensity 61; 2θ 41.72, intensity 100; 2θ 54.02, intensity 20; 2θ 65.74, intensity 19; 2θ 70.80, intensity 12; 2θ 71.18, intensity 20; 2θ 78.53, intensity 22; 2θ 81.70, intensity 16

Cell and atoms:
Cell lengths 4.947, 4.737, 5.591 Å; angles 90.00, 90.03, 90.00 degrees
Fractional positions:
Nb 0.000 0.000 0.000
Nb 0.313 0.500 0.516
Pd 0.008 0.000 0.511
Pd 0.501 0.000 0.761
Pd 0.824 0.500 0.758
Pd 0.828 0.500 0.260
Au 0.319 0.500 0.011
Au 0.504 0.000 0.268

***

(2)
The following is a calculated powder diffractogram of NbPdAu3. It was derived from a structure optimized by DFT (PBE), using λ = 1.5418 Å (Cu Kα).

Peak list (10 most intense, 2θ = 15–90°, low angle first)
2θ 22.48, intensity 25; 2θ 24.09, intensity 24; 2θ 36.87, intensity 46; 2θ 37.22, intensity 65; 2θ 37.91, intensity 78; 2θ 39.86, intensity 100; 2θ 41.23, intensity 23; 2θ 42.05, intensity 55; 2θ 42.75, intensity 55; 2θ 68.25, intensity 45

Cell and atoms:
Cell lengths 8.757, 4.856, 4.856 Å; angles 114.10, 90.00, 90.00 degrees
Fractional positions:
Nb 0.000 0.000 0.000
Nb 0.500 0.000 0.000
Pd 0.250 0.845 0.673
Pd 0.750 0.673 0.845
Au 0.052 0.330 0.656
Au 0.250 0.388 0.146
Au 0.448 0.330 0.656
Au 0.552 0.656 0.330
Au 0.750 0.146 0.388
Au 0.948 0.656 0.330

***

(3)
The following is a calculated powder diffractogram of NbPdAu3. It was derived from a structure optimized by DFT (PBE), using λ = 1.5418 Å (Cu Kα).

Peak list (10 most intense, 2θ = 15–90°, low angle first)
2θ 17.00, intensity 21; 2θ 23.39, intensity 38; 2θ 30.54, intensity 18; 2θ 38.35, intensity 39; 2θ 39.32, intensity 49; 2θ 39.63, intensity 73; 2θ 39.76, intensity 100; 2θ 39.87, intensity 25; 2θ 71.54, intensity 31; 2θ 71.93, intensity 19

Cell and atoms:
Cell lengths 4.583, 8.331, 8.331 Å; angles 141.23, 90.00, 90.00 degrees
Fractional positions:
Nb 0.250 0.216 0.784
Nb 0.750 0.784 0.216
Pd 0.250 0.099 0.373
Pd 0.750 0.373 0.099
Au 0.250 0.092 0.002
Au 0.250 0.629 0.876
Au 0.250 0.685 0.319
Au 0.750 0.002 0.092
Au 0.750 0.319 0.685
Au 0.750 0.876 0.629

***

(4)
The following is a calculated powder diffractogram of Nb3Pd4Au2. It was derived from a structure optimized by DFT (PBE), using λ = 1.5418 Å (Cu Kα).

Peak list (10 most intense, 2θ = 15–90°, low angle first)
2θ 36.11, intensity 32; 2θ 36.76, intensity 34; 2θ 38.37, intensity 74; 2θ 40.99, intensity 100; 2θ 41.15, intensity 99; 2θ 41.50, intensity 35; 2θ 41.82, intensity 34; 2θ 65.79, intensity 28; 2θ 71.05, intensity 19; 2θ 71.36, intensity 26

Cell and atoms:
Cell lengths 4.973, 7.341, 8.862 Å; angles 106.02, 105.43, 91.06 degrees
Fractional positions:
Nb 0.061 0.307 0.441
Nb 0.272 0.016 0.233
Nb 0.393 0.643 0.106
Nb 0.607 0.357 0.894
Nb 0.728 0.984 0.767
Nb 0.939 0.693 0.559
Pd 0.051 0.467 0.781
Pd 0.161 0.248 0.002
Pd 0.170 0.090 0.662
Pd 0.384 0.805 0.449
Pd 0.616 0.195 0.551
Pd 0.830 0.910 0.338
Pd 0.839 0.752 0.998
Pd 0.949 0.533 0.219
Au 0.277 0.867 0.885
Au 0.500 0.420 0.327
Au 0.500 0.580 0.673
Au 0.723 0.133 0.115

***

(5)
The following is a calculated powder diffractogram of Nb2Pd8Au. It was derived from a structure optimized by DFT (PBE), using λ = 1.5418 Å (Cu Kα).

Peak list (10 most intense, 2θ = 15–90°, low angle first)
2θ 38.77, intensity 100; 2θ 39.10, intensity 97; 2θ 44.19, intensity 33; 2θ 45.55, intensity 32; 2θ 46.04, intensity 30; 2θ 65.32, intensity 30; 2θ 66.77, intensity 19; 2θ 77.45, intensity 12; 2θ 78.08, intensity 12; 2θ 79.62, intensity 12

Cell and atoms:
Cell lengths 7.427, 7.427, 6.480 Å; angles 105.92, 105.92, 31.11 degrees
Fractional positions:
Nb 0.221 0.221 0.160
Nb 0.779 0.779 0.840
Pd 0.046 0.046 0.225
Pd 0.146 0.146 0.702
Pd 0.319 0.319 0.590
Pd 0.402 0.402 0.041
Pd 0.598 0.598 0.959
Pd 0.681 0.681 0.410
Pd 0.854 0.854 0.298
Pd 0.954 0.954 0.775
Au 0.500 0.500 0.500

***

(6)
The following is a calculated powder diffractogram of NbPd2Au. It was derived from a structure optimized by DFT (PBE), using λ = 1.5418 Å (Cu Kα).

Peak list (10 most intense, 2θ = 15–90°, low angle first)
2θ 38.18, intensity 53; 2θ 38.30, intensity 53; 2θ 38.98, intensity 100; 2θ 44.79, intensity 67; 2θ 45.05, intensity 33; 2θ 65.33, intensity 22; 2θ 65.49, intensity 21; 2θ 77.64, intensity 13; 2θ 77.79, intensity 13; 2θ 79.06, intensity 25

Cell and atoms:
Cell lengths 4.954, 5.645, 4.969 Å; angles 90.00, 108.41, 90.00 degrees
Fractional positions:
Nb 0.000 0.000 0.000
Nb 0.500 0.006 0.500
Pd 0.000 0.241 0.500
Pd 0.500 0.244 0.000
Pd 0.500 0.496 0.500
Pd 0.500 0.753 0.000
Au 0.000 0.495 0.000
Au 0.000 0.747 0.500

***

(7)
The following is a calculated powder diffractogram of NbPd2Au. It was derived from a structure optimized by DFT (PBE), using λ = 1.5418 Å (Cu Kα).

Peak list (10 most intense, 2θ = 15–90°, low angle first)
2θ 36.79, intensity 26; 2θ 38.04, intensity 44; 2θ 41.45, intensity 54; 2θ 41.61, intensity 100; 2θ 53.96, intensity 17; 2θ 66.03, intensity 17; 2θ 71.06, intensity 11; 2θ 71.17, intensity 20; 2θ 78.83, intensity 21; 2θ 81.36, intensity 20

Cell and atoms:
Cell lengths 4.731, 5.633, 4.909 Å; angles 90.00, 90.00, 90.00 degrees
Fractional positions:
Nb 0.250 0.250 0.164
Nb 0.750 0.750 0.836
Pd 0.250 0.501 0.666
Pd 0.250 0.999 0.666
Pd 0.750 0.001 0.334
Pd 0.750 0.499 0.334
Au 0.250 0.750 0.162
Au 0.750 0.250 0.838

***

(8)
The following is a calculated powder diffractogram of NbPd2Au4. It was derived from a structure optimized by DFT (PBE), using λ = 1.5418 Å (Cu Kα).

Peak list (10 most intense, 2θ = 15–90°, low angle first)
2θ 24.75, intensity 46; 2θ 33.91, intensity 41; 2θ 36.18, intensity 100; 2θ 36.49, intensity 44; 2θ 38.24, intensity 59; 2θ 38.87, intensity 72; 2θ 40.86, intensity 75; 2θ 42.54, intensity 65; 2θ 42.92, intensity 40; 2θ 43.48, intensity 70

Cell and atoms:
Cell lengths 4.911, 9.452, 5.604 Å; angles 90.00, 98.29, 90.00 degrees
Fractional positions:
Nb 0.000 0.000 0.000
Nb 0.000 0.500 0.500
Pd 0.308 0.089 0.373
Pd 0.308 0.411 0.873
Pd 0.692 0.589 0.127
Pd 0.692 0.911 0.627
Au 0.086 0.703 0.875
Au 0.086 0.797 0.375
Au 0.466 0.134 0.888
Au 0.466 0.366 0.388
Au 0.534 0.634 0.612
Au 0.534 0.866 0.112
Au 0.914 0.203 0.625
Au 0.914 0.297 0.125

***

(9)
The following is a calculated powder diffractogram of Nb2Pd3Au3. It was derived from a structure optimized by DFT (PBE), using λ = 1.5418 Å (Cu Kα).

Peak list (10 most intense, 2θ = 15–90°, low angle first)
2θ 23.91, intensity 24; 2θ 34.86, intensity 39; 2θ 38.41, intensity 78; 2θ 39.84, intensity 100; 2θ 42.04, intensity 40; 2θ 42.71, intensity 42; 2θ 44.66, intensity 16; 2θ 63.87, intensity 23; 2θ 73.60, intensity 21; 2θ 87.17, intensity 21

Cell and atoms:
Cell lengths 5.157, 5.157, 5.157 Å; angles 92.40, 92.40, 92.40 degrees
Fractional positions:
Nb 0.245 0.245 0.245
Nb 0.755 0.755 0.755
Pd 0.000 0.265 0.735
Pd 0.265 0.735 0.000
Pd 0.735 0.000 0.265
Au 0.238 0.762 0.500
Au 0.500 0.238 0.762
Au 0.762 0.500 0.238

***

(10)
The following is a calculated powder diffractogram of NbPt6Au. It was derived from a structure optimized by DFT (PBE), using λ = 1.5418 Å (Cu Kα).

Peak list (10 most intense, 2θ = 15–90°, low angle first)
2θ 38.82, intensity 100; 2θ 38.99, intensity 99; 2θ 45.23, intensity 98; 2θ 65.87, intensity 43; 2θ 66.17, intensity 11; 2θ 79.11, intensity 38; 2θ 79.22, intensity 13; 2θ 79.45, intensity 25; 2θ 83.30, intensity 11; 2θ 83.75, intensity 11

Cell and atoms:
Cell lengths 6.930, 6.930, 11.371 Å; angles 90.00, 90.00, 109.20 degrees
Fractional positions:
Nb 0.000 0.000 0.243
Nb 0.000 0.000 0.757
Nb 0.246 0.754 0.500
Nb 0.754 0.246 0.500
Pt 0.000 0.000 0.000
Pt 0.000 0.000 0.500
Pt 0.120 0.367 0.129
Pt 0.120 0.367 0.871
Pt 0.120 0.373 0.378
Pt 0.120 0.373 0.622
Pt 0.246 0.754 0.256
Pt 0.246 0.754 0.744
Pt 0.367 0.120 0.129
Pt 0.367 0.120 0.871
Pt 0.373 0.120 0.378
Pt 0.373 0.120 0.622
Pt 0.500 0.500 0.000
Pt 0.500 0.500 0.500
Pt 0.627 0.880 0.378
Pt 0.627 0.880 0.622
Pt 0.633 0.880 0.129
Pt 0.633 0.880 0.871
Pt 0.754 0.246 0.256
Pt 0.754 0.246 0.744
Pt 0.880 0.627 0.378
Pt 0.880 0.627 0.622
Pt 0.880 0.633 0.129
Pt 0.880 0.633 0.871
Au 0.255 0.745 0.000
Au 0.500 0.500 0.249
Au 0.500 0.500 0.751
Au 0.745 0.255 0.000

***

(11)
The following is a calculated powder diffractogram of NbTlRh2Au. It was derived from a structure optimized by DFT (PBE), using λ = 1.5418 Å (Cu Kα).

Peak list (10 most intense, 2θ = 15–90°, low angle first)
2θ 25.36, intensity 39; 2θ 25.57, intensity 88; 2θ 31.36, intensity 56; 2θ 36.17, intensity 100; 2θ 36.79, intensity 48; 2θ 44.82, intensity 41; 2θ 45.21, intensity 17; 2θ 52.08, intensity 35; 2θ 52.54, intensity 69; 2θ 65.45, intensity 35

Cell and atoms:
Cell lengths 4.967, 4.967, 4.886 Å; angles 90.00, 90.00, 90.00 degrees
Fractional positions:
Nb 0.000 0.000 0.000
Tl 0.500 0.500 0.000
Rh 0.000 0.500 0.500
Rh 0.500 0.000 0.500
Au 0.000 0.000 0.500

***

(12)
The following is a calculated powder diffractogram of Sr2NbSnAu. It was derived from a structure optimized by DFT (PBE), using λ = 1.5418 Å (Cu Kα).

Peak list (10 most intense, 2θ = 15–90°, low angle first)
2θ 15.03, intensity 39; 2θ 21.32, intensity 33; 2θ 27.73, intensity 100; 2θ 30.33, intensity 88; 2θ 35.49, intensity 29; 2θ 43.42, intensity 33; 2θ 47.36, intensity 51; 2θ 52.30, intensity 36; 2θ 57.28, intensity 29; 2θ 82.52, intensity 21

Cell and atoms:
Cell lengths 5.895, 5.895, 5.059 Å; angles 90.00, 90.00, 90.00 degrees
Fractional positions:
Sr 0.000 0.500 0.000
Sr 0.500 0.000 0.000
Nb 0.000 0.000 0.000
Sn 0.500 0.500 0.500
Au 0.000 0.000 0.500

***

Number 5 is which compound? Nb2Pd8Au